Theoretical powder diffractogram
Compound: TiGeIr
Radiation: Cu Kα (λ = 1.5418 Å)
Structure: a crystal structure in the Materials Project, relaxed with PBE
No peak broadening, texture or thermal motion is included.

Atomic structure:
Unit cell a=6.317 b=3.985 c=7.431 alpha=90.00 beta=90.00 gamma=90.00
Space group Pnma (No. 62)
Asymmetric unit:
Ti: 0.027 0.250 0.185 (multiplicity 4)
Ge: 0.239 0.750 0.376 (multiplicity 4)
Ir: 0.156 0.250 0.560 (multiplicity 4)

Top 10 peaks for 10 to 80 degrees two-theta, sorted by position:
2θ (°), intensity, index
18.43, 85, 1 0 1
23.95, 38, 0 0 2
29.09, 66, 1 1 1
35.97, 59, 1 1 2
36.29, 76, 2 1 0
38.33, 57, 2 1 1
42.99, 85, 0 1 3
43.95, 38, 2 1 2
44.73, 52, 3 0 1
45.49, 100, 0 2 0


Theoretical powder diffractogram
Compound: TiGeIr
Radiation: Cu Kα (λ = 1.5418 Å)
Structure: a crystal structure in the Materials Project, relaxed with PBE
No peak broadening, texture or thermal motion is included.

Atomic structure:
Unit cell a=7.457 b=11.325 c=6.587 alpha=90.00 beta=90.00 gamma=90.00
Space group Ima2 (No. 46)
Asymmetric unit:
Ti: 0.250 0.000 0.000 (multiplicity 4)
Ti: 0.250 0.197 0.373 (multiplicity 4)
Ti: 0.250 0.725 0.847 (multiplicity 4)
Ge: 0.002 0.167 0.075 (multiplicity 8)
Ge: 0.250 0.539 0.079 (multiplicity 4)
Ir: 0.000 0.000 0.323 (multiplicity 4)
Ir: 0.043 0.124 0.704 (multiplicity 8)

Top 10 peaks for 10 to 80 degrees two-theta, sorted by position:
2θ (°), intensity, index
15.59, 63, 0 2 0
23.87, 82, 2 0 0
27.23, 49, 0 3 1
36.40, 44, 2 0 2
36.52, 100, 2 3 1
39.84, 77, 2 2 2
41.95, 73, 0 1 3
42.19, 47, 0 5 1
48.82, 67, 4 0 0
49.00, 68, 2 5 1